The following is a simulated X-ray powder pattern of Pr2Se3. It was derived from DFT lattice parameters and positions (PBE), using CuKα.

Largest 10 diffraction maxima, in order of rising 2θ, 2θ = 10–80°:
d 3.675, I = 21
d 2.847, I = 100
d 2.406, I = 68
d 2.013, I = 21
d 1.919, I = 14
d 1.838, I = 12
d 1.766, I = 18
d 1.461, I = 29
d 1.389, I = 14
d 1.225, I = 18

Structure:
```
data_Pr2Se3
_cell_length_a 14.9224
_cell_length_b 14.9224
_cell_length_c 14.9224
_cell_angle_alpha 144.87
_cell_angle_beta 144.87
_cell_angle_gamma 50.53
_space_group_name_H-M_alt 'P 1'
_space_group_IT_number 1
loop_
_space_group_symop_operation_xyz
'x,y,z'
loop_
_atom_site_label
_atom_site_fract_x
_atom_site_fract_y
_atom_site_fract_z
Pr1 0.0474 0.4241 0.8921
Pr2 0.1664 0.1664 0.0000
Pr3 0.1741 0.2974 0.3921
Pr4 0.2180 0.8259 0.1233
Pr5 0.2555 0.1250 0.6305
Pr6 0.3750 0.7445 0.8695
Pr7 0.4945 0.6250 0.3695
Pr8 0.5320 0.1553 0.1079
Pr9 0.5759 0.4680 0.6233
Pr10 0.5836 0.0836 0.5000
Pr11 0.7026 0.0947 0.8767
Pr12 0.8336 0.8336 0.0000
Pr13 0.8447 0.9526 0.3767
Pr14 0.8750 0.5055 0.1305
Pr15 0.9053 0.7820 0.6079
Pr16 0.9164 0.4164 0.5000
Se1 0.0057 0.1071 0.2471
Se2 0.0724 0.8256 0.6054
Se3 0.1744 0.7797 0.2467
Se4 0.1852 0.0941 0.7476
Se5 0.1875 0.5965 0.7524
Se6 0.2170 0.4703 0.8946
Se7 0.2203 0.4670 0.3946
Se8 0.2414 0.9943 0.1013
Se9 0.3465 0.4375 0.2524
Se10 0.4035 0.1559 0.5910
Se11 0.5087 0.1100 0.2529
Se12 0.5297 0.4244 0.7467
Se13 0.5330 0.9276 0.7533
Se14 0.5625 0.8148 0.9090
Se15 0.5648 0.8125 0.4090
Se16 0.5756 0.3224 0.1054
Se17 0.6776 0.7830 0.2533
Se18 0.7443 0.4914 0.6013
Se19 0.8441 0.4352 0.2476
Se20 0.8571 0.2557 0.7471
Se21 0.8600 0.7587 0.7529
Se22 0.8900 0.1429 0.3987
Se23 0.8929 0.1400 0.8987
Se24 0.9059 0.6535 0.0910
```